# AsH3Pd8Pb2
Theoretical PXRD pattern, Cu Kα, 1.54184 Å. Input: a cell relaxed with GGA-PBE.

Structure:
a = 5.8434 Å, b = 5.8434 Å, c = 21.1862 Å
α = 90.00°, β = 90.00°, γ = 120.00°
Space group R3m (No. 160, hexagonal axes)
Symmetry-distinct sites (fractional):
As  0.0000  0.0000  0.0000 x3
H  0.1765  0.3530  0.4941 x9
Pd  0.0000  0.0000  0.4191 x3
Pd  0.0000  0.0000  0.8744 x3
Pd  0.0021  0.5010  0.8594 x9
Pd  0.0035  0.5017  0.4161 x9
Pb  0.0000  0.0000  0.2965 x3
Pb  0.0000  0.0000  0.6383 x3

Peak list (10 most intense, 2θ = 10–90°, by angle)
| index | 2θ (°) | I/Imax |
| --- | --- | --- |
| 1 1 0 | 30.6 | 59 |
| 1 1 3 | 33.2 | 100 |
| 2 0 2 | 36.5 | 78 |
| 0 0 9 | 38.2 | 68 |
| 0 2 4 | 39.5 | 57 |
| 1 1 6 | 40.1 | 40 |
| 2 0 5 | 41.6 | 75 |
| 0 2 7 | 46.8 | 54 |
| 2 2 0 | 63.7 | 56 |
| 2 2 9 | 76.8 | 57 |